Starting from the GGA-PBE geometry in Alexandria, the X-ray powder pattern of HgMoW was simulated for λ = 1.5418 Å (Cu Kα).
Lines closer than 0.1° are merged.

Most intense lines, 2θ = 10–80°, sorted by position:
2θ/deg	I (rel.)
25.0	9
37.9	25
38.5	26
38.8	100
55.2	17
57.0	16
69.1	15
69.9	18
70.5	8
70.9	9

Crystal structure
Cell lengths 7.4939, 7.3016, 2.8408 Å; angles 82.76, 75.15, 22.09 degrees
Fractional coordinates of all 3 atoms:
Hg 0.0000 0.0000 0.0000
Mo 0.6775 0.6775 0.3225
W 0.3205 0.3205 0.6795